ScBiH: simulated X-ray diffraction stick pattern (copper Kα), based on a crystal structure in Alexandria, relaxed with GGA-PBE.

The 6 most intense peaks (10 to 90 degrees two-theta), in order of rising 2θ:
Position (°2θ), intensity, (hkl)
26.28, 56, 0 0 3
27.66, 71, 0 1 1
27.90, 69, 1 0 1
31.65, 100, 0 1 2
31.86, 98, 1 0 2
37.58, 92, 1 1 0

Structural model:
```
data_ScBiH
_cell_length_a 3.369
_cell_length_b 3.401
_cell_length_c 10.174
_cell_angle_alpha 90.00
_cell_angle_beta 90.00
_cell_angle_gamma 90.00
_symmetry_space_group_name_H-M 'P m m n'
_symmetry_Int_Tables_number 59
loop_
_symmetry_equiv_pos_as_xyz
'x,y,z'
'-x,-y,-z'
'-x+1/2,-y+1/2,z'
'x+1/2,y+1/2,-z'
'x+1/2,-y,-z'
'-x+1/2,y,z'
'-x,y+1/2,-z'
'x,-y+1/2,z'
loop_
_atom_site_label
_atom_site_type_symbol
_atom_site_fract_x
_atom_site_fract_y
_atom_site_fract_z
Sc1 Sc 0.250 0.250 0.115
Bi1 Bi 0.250 0.250 0.673
H1 H 0.250 0.750 0.001
```

---

Tb2YSbO8: simulated X-ray diffraction stick pattern (copper Kα), based on a crystal structure in Alexandria, relaxed with GGA-PBE.

The 6 most intense peaks (10 to 90 degrees two-theta), in order of rising 2θ:
Position (°2θ), intensity, (hkl)
27.16, 100, 1 -1 0
29.05, 84, 1 1 0
29.29, 81, 0 1 -2
29.66, 82, 0 1 2
32.62, 35, 1 0 -2
45.90, 36, -1 2 2

Structural model:
```
data_Tb2YSbO8
_cell_length_a 3.912
_cell_length_b 5.487
_cell_length_c 7.293
_cell_angle_alpha 90.51
_cell_angle_beta 93.51
_cell_angle_gamma 93.95
_symmetry_space_group_name_H-M 'P -1'
_symmetry_Int_Tables_number 2
_symmetry_space_group_name_Hall '-P 1'
loop_
_atom_site_label
_atom_site_type_symbol
_atom_site_fract_x
_atom_site_fract_y
_atom_site_fract_z
Tb1 Tb 0.012 0.020 0.246
Y1 Y 0.500 0.500 0.000
Sb1 Sb 0.500 0.500 0.500
O1 O 0.004 0.750 0.008
O2 O 0.068 0.278 0.518
O3 O 0.457 0.730 0.718
O4 O 0.468 0.745 0.282
```

---

Pu2Ni15Rh2: simulated X-ray diffraction stick pattern (copper Kα), based on a crystal structure in Alexandria, relaxed with GGA-PBE.

The 6 most intense peaks (10 to 90 degrees two-theta), in order of rising 2θ:
Position (°2θ), intensity, (hkl)
21.23, 33, 1 1 0
30.71, 47, 1 1 3
37.21, 64, 3 0 0
38.66, 38, 0 2 4
43.23, 75, 2 2 0
43.61, 100, 0 3 3

Structural model:
```
data_Pu2Ni15Rh2
_cell_length_a 8.3711
_cell_length_b 8.3711
_cell_length_c 12.1595
_cell_angle_alpha 90.00
_cell_angle_beta 90.00
_cell_angle_gamma 120.00
_symmetry_space_group_name_H-M 'R -3 m'
_symmetry_Int_Tables_number 166
_symmetry_space_group_name_Hall '-R 3 2"'
loop_
_atom_site_label
_atom_site_type_symbol
_atom_site_fract_x
_atom_site_fract_y
_atom_site_fract_z
Pu1 Pu 0.0000 0.0000 0.1605
Ni1 Ni 0.0000 0.2981 0.5000
Ni2 Ni 0.0000 0.5000 0.0000
Ni3 Ni 0.0051 0.5025 0.6537
Rh1 Rh 0.0000 0.0000 0.3946
```

---

Na3Li3Sn2: simulated X-ray diffraction stick pattern (copper Kα), based on a crystal structure in Alexandria, relaxed with GGA-PBE.

The 6 most intense peaks (10 to 90 degrees two-theta), in order of rising 2θ:
Position (°2θ), intensity, (hkl)
11.35, 100, 0 0 1
22.82, 20, 0 0 2
24.66, 28, 1 1 -1
26.98, 24, 1 1 0
33.44, 34, 1 1 1
34.23, 29, 1 1 -3

Structural model:
```
data_Na3Li3Sn2
_cell_length_a 4.966
_cell_length_b 5.262
_cell_length_c 8.514
_cell_angle_alpha 106.16
_cell_angle_beta 106.85
_cell_angle_gamma 90.08
_symmetry_space_group_name_H-M 'P -1'
_symmetry_Int_Tables_number 2
_symmetry_space_group_name_Hall '-P 1'
loop_
_atom_site_label
_atom_site_type_symbol
_atom_site_fract_x
_atom_site_fract_y
_atom_site_fract_z
Na1 Na 0.000 0.000 0.000
Na2 Na 0.128 0.595 0.256
Li1 Li 0.350 0.799 0.702
Li2 Li 0.500 0.500 0.000
Sn1 Sn 0.254 0.191 0.508
```

---

POs4W: simulated X-ray diffraction stick pattern (copper Kα), based on a crystal structure in Alexandria, relaxed with GGA-PBE.

The 6 most intense peaks (10 to 90 degrees two-theta), in order of rising 2θ:
Position (°2θ), intensity, (hkl)
21.21, 38, 1 1 1
41.27, 100, 3 1 1
43.20, 60, 2 2 2
67.03, 32, 5 1 1
73.90, 30, 4 4 0
89.64, 24, 6 2 2

Structural model:
```
data_POs4W
_cell_length_a 7.255
_cell_length_b 7.255
_cell_length_c 7.255
_cell_angle_alpha 90.00
_cell_angle_beta 90.00
_cell_angle_gamma 90.00
_symmetry_space_group_name_H-M 'F -4 3 m'
_symmetry_Int_Tables_number 216
_symmetry_space_group_name_Hall 'F -4 2 3'
loop_
_atom_site_label
_atom_site_type_symbol
_atom_site_fract_x
_atom_site_fract_y
_atom_site_fract_z
P1 P 0.000 0.000 0.000
Os1 Os 0.125 0.125 0.375
W1 W 0.250 0.250 0.750
```